PmCoNO: computed powder diffractogram (Cu Kα X-rays), based on a GGA+U-relaxed structure.
Intensities are scaled so that the largest is 100.

Structure:
```
data_PmCoNO
_symmetry_space_group_name_H-M 'P c a 21'
_symmetry_Int_Tables_number 29
_cell_length_a 5.6347
_cell_length_b 7.9639
_cell_length_c 5.1137
_cell_angle_alpha 90.00
_cell_angle_beta 90.00
_cell_angle_gamma 90.00
loop_
_symmetry_equiv_pos_as_xyz
'x,y,z'
'-x,-y,z+1/2'
'-x+1/2,y,z+1/2'
'x+1/2,-y,z'
loop_
_atom_site_label
_atom_site_type_symbol
_atom_site_fract_x
_atom_site_fract_y
_atom_site_fract_z
Pm1 Pm 0.0298 0.1520 0.0000
Co1 Co 0.0516 0.6147 0.9810
N1 N 0.0479 0.1437 0.5084
O1 O 0.1147 0.5846 0.5948
```

Principal peaks in the range 2θ = 10–90°, by angle:
26.06°, intensity 32; 31.76°, intensity 36; 32.63°, intensity 100; 35.10°, intensity 36; 48.05°, intensity 21; 61.41°, intensity 18